Starting from a crystal structure in Alexandria, relaxed with PBE, the powder XRD pattern of RuSI2O was simulated for a wavelength of 1.5418 Å.

Cell and atoms:
```
data_RuSI2O
_symmetry_space_group_name_H-M 'P 4/m m m'
_symmetry_Int_Tables_number 123
_symmetry_space_group_name_Hall '-P 4 2'
_cell_length_a 5.490
_cell_length_b 5.490
_cell_length_c 3.723
_cell_angle_alpha 90.00
_cell_angle_beta 90.00
_cell_angle_gamma 90.00
loop_
_atom_site_label
_atom_site_fract_x
_atom_site_fract_y
_atom_site_fract_z
Ru1 0.000 0.000 0.000
S1 0.500 0.500 0.500
I1 0.000 0.500 0.000
O1 0.000 0.000 0.500
```

Main lines, sorted by position (10 to 90 degrees two-theta):
| (hkl) | d_spacing | 2θ (°) | I (rel.) |
| --- | --- | --- | --- |
| 1 0 0 | 5.490 | 16.1 | 26 |
| 0 0 1 | 3.723 | 23.9 | 62 |
| 2 0 0 | 2.745 | 32.6 | 100 |
| 1 1 1 | 2.687 | 33.3 | 45 |
| 2 0 1 | 2.209 | 40.8 | 61 |
| 2 2 0 | 1.941 | 46.8 | 35 |
| 2 2 1 | 1.721 | 53.2 | 28 |
| 2 0 2 | 1.541 | 60.1 | 33 |